Structure and calculated X-ray diffraction stick pattern of LiDy2TlS4 (a DFT-relaxed cell (PBE, Alexandria); Cu Kα (λ = 1.5418 Å)).

Cell and atoms:
Cell lengths 7.028, 7.028, 14.061 Å; angles 90.00, 90.00, 146.77 degrees
Atoms (fractional coordinates):
Li1 0.174 0.826 0.750
Li2 0.826 0.174 0.250
Dy1 0.366 0.634 0.061
Dy2 0.366 0.634 0.439
Dy3 0.634 0.366 0.561
Dy4 0.634 0.366 0.939
Tl1 0.100 0.900 0.250
Tl2 0.900 0.100 0.750
S1 0.000 0.000 0.000
S2 0.000 0.000 0.500
S3 0.262 0.738 0.605
S4 0.262 0.738 0.895
S5 0.422 0.578 0.250
S6 0.578 0.422 0.750
S7 0.738 0.262 0.105
S8 0.738 0.262 0.395

Largest 12 diffraction maxima, by intensity, 2θ = 10–80°:
| 2theta | I (rel.) |
| --- | --- |
| 23.12 | 100 |
| 26.42 | 76 |
| 30.52 | 57 |
| 32.50 | 39 |
| 39.69 | 34 |
| 23.96 | 29 |
| 44.18 | 28 |
| 51.30 | 24 |
| 42.39 | 20 |
| 44.89 | 20 |
| 45.12 | 19 |
| 47.24 | 19 |